Theoretical powder X-ray diffraction pattern of V3CrSe8 for Cu Ka, from DFT lattice parameters and positions (PBE).

Atomic structure:
Lattice parameters (Å, degrees): 11.570 6.681 7.905 90.00 119.32 90.00
Space group C2/m (No. 12)
One atom of each set of equivalent atoms:
V1 0.000 0.000 0.000 (multiplicity 2)
V2 0.250 0.250 0.000 (multiplicity 4)
Cr1 0.000 0.500 0.000 (multiplicity 2)
Se1 0.007 0.251 0.772 (multiplicity 8)
Se2 0.242 0.500 0.228 (multiplicity 4)
Se3 0.244 0.000 0.230 (multiplicity 4)

Main lines, low angle first (2θ = 10–80°):
(hkl), two_theta, I_rel
0 0 1, 12.85, 52
0 0 2, 25.86, 19
2 2 0, 32.13, 35
4 0 0, 35.56, 100
2 2 2, 47.16, 41
0 4 0, 54.98, 28

***

Theoretical powder X-ray diffraction pattern of V4CrSe2 for Cu Ka, from DFT lattice parameters and positions (PBE).

Atomic structure:
Lattice parameters (Å, degrees): 4.343 4.343 12.739 90.00 90.00 90.00
Space group I4/mmm (No. 139)
One atom of each set of equivalent atoms:
V1 0.000 0.000 0.175 (multiplicity 4)
V2 0.000 0.500 0.000 (multiplicity 4)
Cr1 0.000 0.000 0.000 (multiplicity 2)
Se1 0.000 0.000 0.371 (multiplicity 4)

Main lines, low angle first (2θ = 10–80°):
(hkl), two_theta, I_rel
0 0 2, 13.90, 38
1 1 0, 29.08, 73
1 1 4, 40.82, 69
1 0 5, 41.07, 60
2 0 0, 41.59, 100
2 1 5, 59.88, 36

***

Theoretical powder X-ray diffraction pattern of CrSi23 for Cu Ka, from DFT lattice parameters and positions (PBE).

Atomic structure:
Lattice parameters (Å, degrees): 10.214 10.214 10.214 90.00 90.00 90.00
Space group Pm-3n (No. 223)
One atom of each set of equivalent atoms:
Cr1 0.000 0.000 0.000 (multiplicity 2)
Si1 0.000 0.117 0.308 (multiplicity 24)
Si2 0.000 0.250 0.500 (multiplicity 6)
Si3 0.183 0.183 0.183 (multiplicity 16)

Main lines, low angle first (2θ = 10–80°):
(hkl), two_theta, I_rel
1 1 0, 12.25, 51
2 1 0, 19.43, 61
3 2 1, 32.81, 100
3 3 0, 37.35, 23
5 3 0, 52.22, 34
5 3 2, 55.45, 44

***

Theoretical powder X-ray diffraction pattern of CrSi3 for Cu Ka, from DFT lattice parameters and positions (PBE).

Atomic structure:
Lattice parameters (Å, degrees): 3.076 6.605 5.438 90.00 90.00 90.00
Space group Imm2 (No. 44)
One atom of each set of equivalent atoms:
Cr1 0.000 0.000 0.000 (multiplicity 2)
Si1 0.000 0.318 0.775 (multiplicity 4)
Si2 0.000 0.500 0.172 (multiplicity 2)

Main lines, low angle first (2θ = 10–80°):
(hkl), two_theta, I_rel
0 1 1, 21.16, 63
1 0 1, 33.47, 97
0 2 2, 43.10, 45
1 2 1, 43.52, 100
0 3 1, 44.39, 53
1 1 2, 46.66, 92

***

Theoretical powder X-ray diffraction pattern of Cr3Si23 for Cu Ka, from DFT lattice parameters and positions (PBE).

Atomic structure:
Lattice parameters (Å, degrees): 10.167 10.167 10.167 90.00 90.00 90.00
Space group Pm-3n (No. 223)
One atom of each set of equivalent atoms:
Cr1 0.000 0.250 0.500 (multiplicity 6)
Si1 0.000 0.310 0.117 (multiplicity 24)
Si2 0.000 0.500 0.250 (multiplicity 6)
Si3 0.184 0.184 0.184 (multiplicity 16)

Main lines, low angle first (2θ = 10–80°):
(hkl), two_theta, I_rel
2 2 2, 30.46, 69
3 2 0, 31.73, 64
3 2 1, 32.96, 100
5 3 0, 52.48, 72
6 0 0, 54.12, 21
5 3 2, 55.73, 44

***

Theoretical powder X-ray diffraction pattern of Ta2CrSi6 for Cu Ka, from DFT lattice parameters and positions (PBE).

Atomic structure:
Lattice parameters (Å, degrees): 4.660 8.242 6.498 90.00 90.00 90.00
Space group C222 (No. 21)
One atom of each set of equivalent atoms:
Ta1 0.250 0.250 0.164 (multiplicity 4)
Cr1 0.000 0.000 0.500 (multiplicity 2)
Si1 0.000 0.341 0.500 (multiplicity 4)
Si2 0.246 0.423 0.825 (multiplicity 8)

Main lines, low angle first (2θ = 10–80°):
(hkl), two_theta, I_rel
0 2 0, 21.56, 39
1 1 1, 25.89, 100
1 1 2, 35.40, 50
1 3 1, 40.57, 82
0 0 3, 41.70, 36
1 3 2, 47.53, 52